1.
For SrEuTe2, a crystal structure in the Materials Project, relaxed with PBE gives the calculated X-ray powder pattern in this record (Cu Kα X-rays).

Structural model:
Unit cell a=4.7196 b=4.7196 c=23.1147 alpha=90.00 beta=90.00 gamma=120.00
Space group R-3m (No. 166, hexagonal axes)
Asymmetric unit:
Sr1 0.0000 0.0000 0.0000
Eu1 0.0000 0.0000 0.5000
Te1 0.0000 0.0000 0.2492

The 10 most intense peaks (2θ = 15–90°), in order of rising 2θ:
2θ 22.09, I = 3, hkl 1 0 1
2θ 26.71, I = 100, hkl 1 0 4
2θ 38.14, I = 78, hkl 1 1 0
2θ 39.96, I = 1, hkl 1 1 3
2θ 47.17, I = 28, hkl 0 2 4
2θ 55.04, I = 13, hkl 2 0 8
2θ 62.21, I = 37, hkl 2 1 4
2θ 68.93, I = 27, hkl 3 0 0
2θ 81.60, I = 9, hkl 2 2 0
2θ 87.75, I = 18, hkl 3 0 12

***

2.
For SrEuTl2, a crystal structure in the Materials Project, relaxed with PBE gives the calculated X-ray powder pattern in this record (Cu Kα X-rays).

Structural model:
Unit cell a=8.153 b=8.153 c=8.153 alpha=90.00 beta=90.00 gamma=90.00
Space group Fm-3m (No. 225)
Asymmetric unit:
Sr1 0.000 0.000 0.000
Eu1 0.000 0.000 0.500
Tl1 0.250 0.250 0.250

The 10 most intense peaks (2θ = 15–90°), in order of rising 2θ:
2θ 18.85, I = 2, hkl 1 1 1
2θ 21.80, I = 7, hkl 2 0 0
2θ 31.03, I = 100, hkl 2 2 0
2θ 38.24, I = 2, hkl 2 2 2
2θ 44.45, I = 19, hkl 4 0 0
2θ 50.03, I = 3, hkl 4 2 0
2θ 55.19, I = 40, hkl 4 2 2
2θ 64.68, I = 12, hkl 4 4 0
2θ 73.46, I = 17, hkl 6 2 0
2θ 81.86, I = 4, hkl 4 4 4

***

3.
For Eu3Ta, a crystal structure in the Materials Project, relaxed with PBE gives the calculated X-ray powder pattern in this record (Cu Kα X-rays).

Structural model:
Unit cell a=8.103 b=8.103 c=8.103 alpha=90.00 beta=90.00 gamma=90.00
Space group Fm-3m (No. 225)
Asymmetric unit:
Eu1 0.000 0.000 0.000
Eu2 0.250 0.250 0.250
Ta1 0.000 0.000 0.500

The 6 most intense peaks (2θ = 15–90°), in order of rising 2θ:
2θ 31.22, I = 100, hkl 2 2 0
2θ 44.74, I = 19, hkl 4 0 0
2θ 55.56, I = 39, hkl 4 2 2
2θ 65.12, I = 12, hkl 4 4 0
2θ 73.98, I = 17, hkl 6 2 0
2θ 82.47, I = 4, hkl 4 4 4

***

4.
For Eu3Ta, a crystal structure in the Materials Project, relaxed with PBE gives the calculated X-ray powder pattern in this record (Cu Kα X-rays).

Structural model:
Unit cell a=5.011 b=5.011 c=9.587 alpha=90.00 beta=90.00 gamma=90.00
Space group I4/mmm (No. 139)
Asymmetric unit:
Eu1 0.000 0.000 0.000
Eu2 0.000 0.500 0.250
Ta1 0.000 0.000 0.500

The 10 most intense peaks (2θ = 15–90°), in order of rising 2θ:
2θ 31.40, I = 100, hkl 1 1 2
2θ 35.84, I = 35, hkl 2 0 0
2θ 37.53, I = 16, hkl 0 0 4
2θ 51.59, I = 12, hkl 2 2 0
2θ 52.86, I = 23, hkl 2 0 4
2θ 61.65, I = 29, hkl 3 1 2
2θ 63.91, I = 13, hkl 1 1 6
2θ 65.52, I = 12, hkl 2 2 4
2θ 84.49, I = 6, hkl 3 3 2
2θ 86.50, I = 12, hkl 3 1 6

***

5.
For TbEu3, a crystal structure in the Materials Project, relaxed with PBE gives the calculated X-ray powder pattern in this record (Cu Kα X-rays).

Structural model:
Unit cell a=7.6691 b=7.6691 c=6.2097 alpha=90.00 beta=90.00 gamma=120.00
Space group P6_3/mmc (No. 194)
Asymmetric unit:
Tb1 0.3333 0.6667 0.2500
Eu1 0.1698 0.3395 0.7500

The 10 most intense peaks (2θ = 15–90°), in order of rising 2θ:
2θ 26.85, I = 23, hkl 2 0 0
2θ 28.75, I = 26, hkl 0 0 2
2θ 30.53, I = 100, hkl 2 0 1
2θ 39.74, I = 16, hkl 2 0 2
2θ 47.42, I = 20, hkl 2 2 0
2θ 52.06, I = 22, hkl 2 0 3
2θ 56.40, I = 23, hkl 2 2 2
2θ 57.45, I = 17, hkl 4 0 1
2θ 77.60, I = 14, hkl 4 2 1
2θ 83.00, I = 10, hkl 2 0 5

***

6.
For Tb3Eu, a crystal structure in the Materials Project, relaxed with PBE gives the calculated X-ray powder pattern in this record (Cu Kα X-rays).

Structural model:
Unit cell a=5.098 b=5.098 c=10.229 alpha=90.00 beta=90.00 gamma=90.00
Space group I4/mmm (No. 139)
Asymmetric unit:
Tb1 0.000 0.000 0.000
Tb2 0.000 0.500 0.250
Eu1 0.000 0.000 0.500

The 10 most intense peaks (2θ = 15–90°), in order of rising 2θ:
2θ 30.33, I = 100, hkl 1 1 2
2θ 35.09, I = 17, hkl 0 0 4
2θ 35.21, I = 34, hkl 2 0 0
2θ 50.59, I = 36, hkl 2 2 0
2θ 60.03, I = 14, hkl 1 1 6
2θ 60.18, I = 29, hkl 3 1 2
2θ 63.11, I = 12, hkl 2 2 4
2θ 82.32, I = 12, hkl 3 1 6
2θ 82.45, I = 6, hkl 3 3 2
2θ 85.07, I = 11, hkl 4 2 0